Simulated PXRD pattern
Compound: Li3Ca2CdAg12
Radiation: Cu Kα, 1.54184 Å
Structure: a PBE-relaxed structure

Structure:
Lattice parameters (Å, degrees): 6.6134 6.6134 31.0269 90.00 90.00 120.00
Space group R-3m (No. 166, hexagonal axes)
Asymmetric unit:
1 Li 0.0000 0.5000 0.0000 (multiplicity 9)
2 Ca 0.0000 0.0000 0.1385 (multiplicity 6)
3 Cd 0.0000 0.0000 0.5000 (multiplicity 3)
4 Ag 0.0287 0.5144 0.8945 (multiplicity 18)
5 Ag 0.0581 0.5290 0.6226 (multiplicity 18)

Peak list (12 most intense, 2θ from 5° to 70°, in order of falling intensity)
2θ (°)	I_rel	h k l
33.35	100	0 2 4
19.26	76	1 0 4
39.10	67	2 0 8
35.48	30	0 1 11
55.59	28	2 2 0
42.98	23	0 2 10
48.49	20	0 3 3
32.13	17	1 1 6
17.15	16	0 0 6
59.71	15	1 2 14
43.77	15	0 0 15
46.70	14	2 1 7

=====

Simulated PXRD pattern
Compound: LiCaCd5Ag2
Radiation: Cu Kα, 1.54184 Å
Structure: a PBE-relaxed structure

Structure:
Lattice parameters (Å, degrees): 5.2127 5.2127 8.2030 90.00 90.00 90.00
Space group P4/mmm (No. 123)
Asymmetric unit:
1 Li 0.0000 0.0000 0.0000 (multiplicity 1)
2 Ca 0.0000 0.0000 0.5000 (multiplicity 1)
3 Cd 0.0000 0.5000 0.2516 (multiplicity 4)
4 Cd 0.5000 0.5000 0.5000 (multiplicity 1)
5 Ag 0.5000 0.5000 0.1592 (multiplicity 2)

Peak list (12 most intense, 2θ from 5° to 70°, in order of falling intensity)
2θ (°)	I_rel	h k l
34.41	100	2 0 0
32.67	100	1 1 2
17.01	67	1 0 0
41.07	51	2 0 2
60.54	35	3 1 2
21.67	34	0 0 2
49.45	34	2 2 0
37.13	20	1 0 3
50.96	17	1 1 4
38.62	17	2 1 0
51.52	15	2 1 3
57.15	14	2 0 4

=====

Simulated PXRD pattern
Compound: Ca2CdAgO4
Radiation: Cu Kα, 1.54184 Å
Structure: a PBE-relaxed structure

Structure:
Lattice parameters (Å, degrees): 6.1161 3.3217 6.2375 90.00 116.94 90.00
Space group P2/m (No. 10)
Asymmetric unit:
1 Ca 0.0000 0.0000 0.0000 (multiplicity 1)
2 Ca 0.0000 0.5000 0.5000 (multiplicity 1)
3 Cd 0.5000 0.0000 0.5000 (multiplicity 1)
4 Ag 0.5000 0.5000 0.0000 (multiplicity 1)
5 O 0.2260 0.5000 0.2809 (multiplicity 2)
6 O 0.2504 0.0000 0.7771 (multiplicity 2)

Peak list (12 most intense, 2θ from 5° to 70°, in order of falling intensity)
2θ (°)	I_rel	h k l
38.89	100	1 1 1
31.86	75	1 1 -1
34.06	70	2 0 -2
16.26	56	1 0 0
53.10	39	3 1 -1
32.20	37	0 0 2
52.20	37	1 1 -3
32.85	34	2 0 0
28.68	24	1 0 -2
31.37	22	0 1 1
40.10	18	2 1 -1
66.58	17	2 2 -2

=====

Simulated PXRD pattern
Compound: Ca2TbCd12Ag3
Radiation: Cu Kα, 1.54184 Å
Structure: a PBE-relaxed structure

Structure:
Lattice parameters (Å, degrees): 8.9515 8.9515 21.2901 90.00 90.00 120.00
Space group R-3m (No. 166, hexagonal axes)
Asymmetric unit:
1 Ca 0.0000 0.0000 0.0821 (multiplicity 6)
2 Tb 0.0000 0.0000 0.5000 (multiplicity 3)
3 Cd 0.0520 0.5260 0.2733 (multiplicity 18)
4 Cd 0.0913 0.5456 0.8686 (multiplicity 18)
5 Ag 0.0000 0.5000 0.0000 (multiplicity 9)

Peak list (12 most intense, 2θ from 5° to 70°, in order of falling intensity)
2θ (°)	I_rel	h k l
31.65	100	1 0 7
40.30	44	2 2 0
12.15	44	1 0 1
37.02	40	0 3 3
37.59	38	0 2 7
41.14	36	2 0 8
23.33	33	0 2 1
37.25	29	1 2 5
60.31	21	5 0 2
23.50	20	1 1 3
42.86	18	2 1 7
28.49	18	0 2 4

=====

Simulated PXRD pattern
Compound: CaZn2Cd2Ag
Radiation: Cu Kα, 1.54184 Å
Structure: a PBE-relaxed structure

Structure:
Lattice parameters (Å, degrees): 5.2901 5.2901 11.1377 90.00 90.00 90.00
Space group I4/mmm (No. 139)
Asymmetric unit:
1 Ca 0.0000 0.0000 0.0000 (multiplicity 2)
2 Zn 0.0000 0.0000 0.2729 (multiplicity 4)
3 Cd 0.0000 0.5000 0.2500 (multiplicity 4)
4 Ag 0.0000 0.0000 0.5000 (multiplicity 2)

Peak list (12 most intense, 2θ from 5° to 70°, in order of falling intensity)
2θ (°)	I_rel	h k l
33.89	100	2 0 0
47.41	69	2 0 4
28.75	68	1 1 2
32.15	53	0 0 4
15.91	50	0 0 2
48.68	35	2 2 0
59.54	33	2 2 4
18.57	26	1 0 1
37.65	24	2 0 2
57.52	18	3 1 2
55.24	14	1 1 6
51.55	10	2 2 2

=====

Simulated PXRD pattern
Compound: Ca2CeAg9
Radiation: Cu Kα, 1.54184 Å
Structure: a PBE-relaxed structure

Structure:
Lattice parameters (Å, degrees): 5.7128 5.7128 28.0415 90.00 90.00 120.00
Space group R-3m (No. 166, hexagonal axes)
Asymmetric unit:
1 Ca 0.0000 0.0000 0.1424 (multiplicity 6)
2 Ce 0.0000 0.0000 0.0000 (multiplicity 3)
3 Ag 0.0000 0.0000 0.3329 (multiplicity 6)
4 Ag 0.0000 0.0000 0.5000 (multiplicity 3)
5 Ag 0.0018 0.5009 0.9161 (multiplicity 18)

Peak list (12 most intense, 2θ from 5° to 70°, in order of falling intensity)
2θ (°)	I_rel	h k l
36.88	100	1 1 6
39.82	37	2 0 5
38.54	33	0 0 12
31.30	24	1 1 0
36.46	23	0 2 1
18.21	22	1 0 1
42.97	21	0 2 7
65.33	20	2 2 0
59.43	20	3 0 6
9.46	16	0 0 3
21.99	9	1 0 4
68.62	9	1 1 18

=====

Simulated PXRD pattern
Compound: CaCeAg4
Radiation: Cu Kα, 1.54184 Å
Structure: a PBE-relaxed structure

Structure:
Lattice parameters (Å, degrees): 3.4027 4.9164 8.3537 90.00 90.00 90.00
Space group Pmmm (No. 47)
Asymmetric unit:
1 Ca 0.0000 0.0000 0.0000 (multiplicity 1)
2 Ce 0.0000 0.5000 0.5000 (multiplicity 1)
3 Ag 0.5000 0.0000 0.3307 (multiplicity 2)
4 Ag 0.5000 0.5000 0.1664 (multiplicity 2)

Peak list (12 most intense, 2θ from 5° to 70°, in order of falling intensity)
2θ (°)	I_rel	h k l
33.78	100	1 1 1
37.11	94	0 1 3
33.98	51	1 0 2
36.55	49	0 2 0
67.24	39	2 1 3
50.76	32	1 2 2
26.19	22	1 0 0
10.59	19	0 0 1
45.98	18	1 1 3
66.16	16	0 3 3
66.88	16	2 2 0
53.89	15	2 0 0

=====

Simulated PXRD pattern
Compound: CaCe2In2Ag2
Radiation: Cu Kα, 1.54184 Å
Structure: a PBE-relaxed structure

Structure:
Lattice parameters (Å, degrees): 4.7736 4.7736 27.3164 90.00 90.00 120.00
Space group R-3m (No. 166, hexagonal axes)
Asymmetric unit:
1 Ca 0.0000 0.0000 0.0000 (multiplicity 3)
2 Ce 0.0000 0.0000 0.1413 (multiplicity 6)
3 In 0.0000 0.0000 0.2629 (multiplicity 6)
4 Ag 0.0000 0.0000 0.4162 (multiplicity 6)

Peak list (12 most intense, 2θ from 5° to 70°, in order of falling intensity)
2θ (°)	I_rel	h k l
31.53	100	1 0 7
37.69	91	1 1 0
49.93	27	0 2 7
9.71	25	0 0 3
64.21	25	2 1 7
34.05	19	0 1 8
68.03	15	3 0 0
19.50	14	0 0 6
64.35	14	1 1 15
39.56	12	0 0 12
55.80	11	1 1 12
42.78	11	1 1 6

=====

Simulated PXRD pattern
Compound: CaCeAgIr
Radiation: Cu Kα, 1.54184 Å
Structure: a PBE-relaxed structure

Structure:
Lattice parameters (Å, degrees): 7.1227 7.1227 7.1227 90.00 90.00 90.00
Space group F-43m (No. 216)
Asymmetric unit:
1 Ca 0.0000 0.0000 0.0000 (multiplicity 4)
2 Ce 0.0000 0.0000 0.5000 (multiplicity 4)
3 Ag 0.2500 0.2500 0.7500 (multiplicity 4)
4 Ir 0.2500 0.2500 0.2500 (multiplicity 4)

Peak list (10 most intense, 2θ from 5° to 70°, in order of falling intensity)
2θ (°)	I_rel	h k l
35.65	100	2 2 0
64.04	35	4 2 2
51.31	17	4 0 0
21.61	15	1 1 1
42.07	8	3 1 1
25.00	7	2 0 0
56.30	4	3 3 1
57.90	3	4 2 0
68.44	3	5 1 1
44.04	2	2 2 2

=====

Simulated PXRD pattern
Compound: Ca2AgCl5
Radiation: Cu Kα, 1.54184 Å
Structure: a PBE-relaxed structure

Structure:
Lattice parameters (Å, degrees): 8.7744 7.0956 13.6212 90.00 100.30 90.00
Space group P2_1/c (No. 14)
Asymmetric unit:
1 Ca 0.1513 0.0440 0.3821 (multiplicity 4)
2 Ca 0.3477 0.0475 0.6991 (multiplicity 4)
3 Ag 0.0000 0.0000 0.0000 (multiplicity 2)
4 Ag 0.5000 0.0000 0.0000 (multiplicity 2)
5 Cl 0.0664 0.1501 0.7537 (multiplicity 4)
6 Cl 0.1418 0.6563 0.0573 (multiplicity 4)
7 Cl 0.2506 0.1852 0.0442 (multiplicity 4)
8 Cl 0.3555 0.7418 0.3427 (multiplicity 4)
9 Cl 0.4410 0.2064 0.3545 (multiplicity 4)

Peak list (12 most intense, 2θ from 5° to 70°, in order of falling intensity)
2θ (°)	I_rel	h k l
23.53	100	0 1 3
36.81	72	2 2 2
24.03	66	2 1 -1
43.60	52	2 3 -1
13.21	36	0 0 2
14.12	33	0 1 1
45.58	31	4 1 1
34.06	27	3 1 -2
37.02	27	1 2 -4
40.07	26	2 2 -4
32.22	21	0 2 3
44.74	18	2 1 5

=====

Simulated PXRD pattern
Compound: CaAg4Cl8
Radiation: Cu Kα, 1.54184 Å
Structure: a PBE-relaxed structure

Structure:
Lattice parameters (Å, degrees): 7.8310 7.8310 19.3117 90.00 90.00 120.00
Space group R-3m (No. 166, hexagonal axes)
Asymmetric unit:
1 Ca 0.0000 0.0000 0.0000 (multiplicity 3)
2 Ag 0.0000 0.0000 0.5000 (multiplicity 3)
3 Ag 0.0000 0.5000 0.5000 (multiplicity 9)
4 Cl 0.0000 0.0000 0.2317 (multiplicity 6)
5 Cl 0.0055 0.5028 0.7519 (multiplicity 18)

Peak list (12 most intense, 2θ from 5° to 70°, in order of falling intensity)
2θ (°)	I_rel	h k l
32.26	100	0 2 4
13.76	88	0 0 3
26.69	43	0 2 1
46.38	34	2 2 0
46.16	32	2 0 8
48.61	20	2 2 3
42.24	19	0 2 7
35.22	17	2 0 5
57.62	17	4 0 4
27.89	10	2 0 2
67.51	9	0 4 8
64.47	9	4 0 7

=====

Simulated PXRD pattern
Compound: CaAgCl4
Radiation: Cu Kα, 1.54184 Å
Structure: a PBE-relaxed structure

Structure:
Lattice parameters (Å, degrees): 9.2208 9.2208 7.8669 90.00 90.00 90.00
Space group I4_1md (No. 109)
Asymmetric unit:
1 Ca 0.0000 0.0000 0.0000 (multiplicity 4)
2 Ag 0.0000 0.0000 0.4953 (multiplicity 4)
3 Cl 0.0000 0.1841 0.7262 (multiplicity 8)
4 Cl 0.0000 0.1948 0.2609 (multiplicity 8)

Peak list (12 most intense, 2θ from 5° to 70°, in order of falling intensity)
2θ (°)	I_rel	h k l
19.25	100	2 0 0
38.43	78	3 1 2
47.81	41	3 3 2
14.80	34	1 0 1
29.86	32	2 0 2
26.46	30	1 1 2
39.08	26	4 0 0
30.66	17	3 1 0
24.37	17	2 1 1
50.45	14	2 0 4
46.16	12	0 0 4
62.03	11	4 0 4

=====

Simulated PXRD pattern
Compound: CaCrAg2Cl6
Radiation: Cu Kα, 1.54184 Å
Structure: a PBE-relaxed structure

Structure:
Lattice parameters (Å, degrees): 6.8177 6.8231 7.2543 61.99 62.05 60.04
Space group P1 (No. 1)
Asymmetric unit:
1 Ca 0.0000 0.0000 0.0000 (multiplicity 1)
2 Cr 0.5001 0.5002 0.4994 (multiplicity 1)
3 Ag 0.2257 0.2254 0.3233 (multiplicity 1)
4 Ag 0.7732 0.7736 0.6797 (multiplicity 1)
5 Cl 0.1352 0.7399 0.7346 (multiplicity 1)
6 Cl 0.2612 0.6094 0.2646 (multiplicity 1)
7 Cl 0.3902 0.1353 0.7347 (multiplicity 1)
8 Cl 0.6097 0.8651 0.2644 (multiplicity 1)
9 Cl 0.7395 0.3905 0.7344 (multiplicity 1)
10 Cl 0.8650 0.2612 0.2641 (multiplicity 1)

Peak list (12 most intense, 2θ from 5° to 70°, in order of falling intensity)
2θ (°)	I_rel	h k l
24.62	100	1 0 -1
30.02	75	1 2 0
36.20	65	2 2 0
46.09	64	3 3 2
26.13	63	1 2 1
45.19	46	-2 1 1
14.53	30	0 0 1
31.84	27	2 2 2
28.70	23	1 0 2
17.87	23	1 1 0
29.30	22	0 0 2
37.64	18	1 0 -2